[1]
# CsPr2Cu3Te4Se
Computed powder X-ray diffraction pattern, Cu Kα (λ = 1.5418 Å). Input: a structure optimized by DFT (PBE).
Neutral-atom scattering factors, no anomalous dispersion.

Crystal structure
Lattice parameters (Å, degrees): 4.4082 15.6906 18.6476 90.00 90.00 90.00
Space group Cmcm (No. 63)
One atom of each set of equivalent atoms:
Cs 0.0000 0.0676 0.2500
Pr 0.0000 0.1948 0.5961
Cu 0.0000 0.3354 0.2500
Cu 0.0000 0.4155 0.5200
Te 0.0000 0.1577 0.0702
Te 0.0000 0.4469 0.1190
Se 0.0000 0.2360 0.7500

The 10 most intense peaks (5° ≤ 2θ ≤ 70°), in order of rising 2θ:
2θ/deg  I_rel
26.4  95
26.9  100
28.2  46
28.7  48
32.8  55
35.8  23
37.3  28
39.5  30
40.9  55
43.3  47

=====

[2]
# CsRb2Cu7
Computed powder X-ray diffraction pattern, Cu Kα (λ = 1.5418 Å). Input: a structure optimized by DFT (PBE).
Neutral-atom scattering factors, no anomalous dispersion.

Crystal structure
Lattice parameters (Å, degrees): 5.6977 12.0121 6.6303 90.00 90.00 90.00
Space group Cmmm (No. 65)
One atom of each set of equivalent atoms:
Cs 0.0000 0.0000 0.0000
Rb 0.0000 0.1613 0.5000
Cu 0.0000 0.3930 0.1850
Cu 0.0000 0.5000 0.5000
Cu 0.2500 0.2500 0.0000

The 10 most intense peaks (5° ≤ 2θ ≤ 70°), in order of rising 2θ:
2θ/deg  I_rel
26.9  20
30.4  100
31.4  34
32.1  45
34.9  21
37.5  29
40.5  21
40.8  23
44.6  28
63.3  26